For Sr2Hg3Rh, the PBE geometry in Alexandria gives the calculated PXRD pattern in this record (λ = 1.5418 Å (Cu Kα)).
Kinematic intensities with the Lorentz-polarization factor, no thermal factor.

Structural model:
Cell lengths 11.337, 4.916, 7.797 Å; angles 90.00, 131.36, 90.00 degrees
Space group Cm (No. 8)
Symmetry-distinct sites (fractional):
Sr  0.000  0.000  0.000 x2
Sr  0.093  0.000  0.587 x2
Hg  0.214  0.500  0.382 x2
Hg  0.368  0.000  0.162 x2
Hg  0.410  0.000  0.628 x2
Rh  0.218  0.500  0.020 x2

The 10 most intense peaks (15 to 90 degrees two-theta), low angle first:
| h k l | two_theta | intensity |
| --- | --- | --- |
| 1 1 0 | 20.87 | 20.3 |
| 2 0 -2 | 22.83 | 18.9 |
| 3 1 -1 | 30.34 | 24.9 |
| 1 1 -2 | 30.83 | 49.8 |
| 3 1 -2 | 31.40 | 13.9 |
| 4 0 -2 | 31.69 | 15.3 |
| 0 2 0 | 36.56 | 100.0 |
| 5 1 -2 | 44.20 | 13.2 |
| 7 1 -3 | 60.23 | 11.4 |
| 3 3 0 | 65.85 | 18.6 |